(1)
Simulated XRD peak list
Compound: La6SnTe3Pb2
Radiation: Cu Ka
Structure: a DFT-relaxed cell (GGA-PBE, Alexandria)

Largest 10 diffraction maxima, by intensity, 5 to 70 degrees two-theta:
2theta, Rel. int., hkl
27.2, 100.0, 6 0 0
38.8, 65.0, 5 1 2
63.3, 24.4, 11 1 2
48.0, 21.3, 6 2 0
56.0, 13.4, 12 0 0
38.8, 12.9, 2 0 -4
63.3, 12.4, 4 2 4
48.0, 7.0, 8 0 -4
11.7, 2.5, 2 0 -1
35.5, 1.0, 3 1 -3

Atomic structure:
```
data_La6SnTe3Pb2
_cell_length_a 20.2324
_cell_length_b 4.6524
_cell_length_c 9.2783
_cell_angle_alpha 90.00
_cell_angle_beta 103.21
_cell_angle_gamma 90.00
_symmetry_space_group_name_H-M 'C 1 2/m 1'
_symmetry_Int_Tables_number 12
loop_
_symmetry_equiv_pos_as_xyz
'x,y,z'
'-x,-y,-z'
'-x,y,-z'
'x,-y,z'
'x+1/2,y+1/2,z'
'-x+1/2,-y+1/2,-z'
'-x+1/2,y+1/2,-z'
'x+1/2,-y+1/2,z'
loop_
_atom_site_label
_atom_site_type_symbol
_atom_site_fract_x
_atom_site_fract_y
_atom_site_fract_z
La1 La 0.0011 0.0000 0.2436
La2 La 0.1642 0.5000 0.0857
La3 La 0.1677 0.5000 0.5799
Sn1 Sn 0.0000 0.5000 0.0000
Te1 Te 0.0000 0.5000 0.5000
Te2 Te 0.1669 0.0000 0.8334
Pb1 Pb 0.1667 0.0000 0.3332
```

(2)
Simulated XRD peak list
Compound: ScBi2O6
Radiation: Cu Ka
Structure: a DFT-relaxed cell (GGA-PBE, Alexandria)

Largest 10 diffraction maxima, by intensity, 5 to 70 degrees two-theta:
2theta, Rel. int., hkl
26.2, 100.0, 1 1 1
33.0, 30.1, 3 0 0
50.0, 29.8, 3 0 2
42.6, 20.9, 2 2 1
18.9, 19.8, 1 1 0
54.9, 15.4, 4 1 1
28.4, 11.0, 2 0 1
59.6, 10.6, 1 1 3
52.4, 9.5, 3 2 1
29.0, 8.4, 2 1 0

Atomic structure:
```
data_ScBi2O6
_cell_length_a 9.4036
_cell_length_b 9.4036
_cell_length_c 4.9338
_cell_angle_alpha 90.00
_cell_angle_beta 90.00
_cell_angle_gamma 120.00
_symmetry_space_group_name_H-M 'P 3 2 1'
_symmetry_Int_Tables_number 150
loop_
_symmetry_equiv_pos_as_xyz
'x,y,z'
'-y,x-y,z'
'-x+y,-x,z'
'y,x,-z'
'x-y,-y,-z'
'-x,-x+y,-z'
loop_
_atom_site_label
_atom_site_type_symbol
_atom_site_fract_x
_atom_site_fract_y
_atom_site_fract_z
Sc1 Sc 0.0000 0.0000 0.0000
Sc2 Sc 0.3333 0.6667 0.4966
Bi1 Bi 0.0000 0.3659 0.0000
Bi2 Bi 0.0000 0.7007 0.5000
O1 O 0.0931 0.2155 0.2339
O2 O 0.1167 0.5870 0.2689
O3 O 0.2224 0.4460 0.7269
```

(3)
Simulated XRD peak list
Compound: Li4Tm3NpS8
Radiation: Cu Ka
Structure: a DFT-relaxed cell (GGA-PBE, Alexandria)

Largest 10 diffraction maxima, by intensity, 5 to 70 degrees two-theta:
2theta, Rel. int., hkl
14.4, 100.0, 0 0 3
32.9, 85.5, 0 2 4
26.9, 69.5, 0 2 1
36.1, 32.5, 2 0 5
46.8, 31.3, 2 2 0
47.7, 29.6, 2 0 8
28.2, 28.0, 2 0 2
49.2, 27.6, 2 2 3
43.5, 19.7, 0 2 7
58.4, 16.1, 4 0 4

Atomic structure:
```
data_Li4Tm3NpS8
_cell_length_a 7.7675
_cell_length_b 7.7675
_cell_length_c 18.5075
_cell_angle_alpha 90.00
_cell_angle_beta 90.00
_cell_angle_gamma 120.00
_symmetry_space_group_name_H-M 'R -3 m'
_symmetry_Int_Tables_number 166
_symmetry_space_group_name_Hall '-R 3 2"'
loop_
_atom_site_label
_atom_site_type_symbol
_atom_site_fract_x
_atom_site_fract_y
_atom_site_fract_z
Li1 Li 0.0000 0.0000 0.0000
Li2 Li 0.0000 0.5000 0.0000
Tm1 Tm 0.0000 0.5000 0.5000
Np1 Np 0.0000 0.0000 0.5000
S1 S 0.0000 0.0000 0.2492
S2 S 0.0054 0.5027 0.7501
```

(4)
Simulated XRD peak list
Compound: CuHPd2Pb
Radiation: Cu Ka
Structure: a DFT-relaxed cell (GGA-PBE, Alexandria)

Largest 8 diffraction maxima, by intensity, 5 to 70 degrees two-theta:
2theta, Rel. int., hkl
37.8, 100.0, 1 1 1
43.9, 49.5, 2 0 0
63.8, 32.1, 2 2 0
21.5, 15.8, 1 0 0
30.6, 14.7, 1 0 1
49.4, 8.1, 2 1 0
54.5, 6.4, 2 1 1
68.2, 4.2, 3 0 0

Atomic structure:
```
data_CuHPd2Pb
_cell_length_a 4.1257
_cell_length_b 4.1257
_cell_length_c 4.1258
_cell_angle_alpha 90.00
_cell_angle_beta 90.00
_cell_angle_gamma 90.00
_symmetry_space_group_name_H-M 'P 4/m m m'
_symmetry_Int_Tables_number 123
_symmetry_space_group_name_Hall '-P 4 2'
loop_
_atom_site_label
_atom_site_type_symbol
_atom_site_fract_x
_atom_site_fract_y
_atom_site_fract_z
Cu1 Cu 0.0000 0.0000 0.0000
H1 H 0.0000 0.0000 0.5000
Pd1 Pd 0.0000 0.5000 0.5000
Pb1 Pb 0.5000 0.5000 0.0000
```

(5)
Simulated XRD peak list
Compound: KIn5Ag3
Radiation: Cu Ka
Structure: a DFT-relaxed cell (GGA-PBE, Alexandria)

Largest 10 diffraction maxima, by intensity, 5 to 70 degrees two-theta:
2theta, Rel. int., hkl
38.6, 100.0, 1 5 2
36.8, 70.6, 1 1 5
13.5, 68.4, 0 2 1
12.0, 66.6, 0 0 2
39.6, 64.0, 2 0 0
31.8, 52.2, 1 1 4
27.4, 50.2, 1 1 3
36.6, 47.1, 1 5 0
29.5, 40.6, 1 3 2
41.4, 35.3, 0 6 3

Atomic structure:
```
data_KIn5Ag3
_cell_length_a 4.5469
_cell_length_b 14.5950
_cell_length_c 14.7705
_cell_angle_alpha 90.00
_cell_angle_beta 90.00
_cell_angle_gamma 90.00
_symmetry_space_group_name_H-M 'C m c m'
_symmetry_Int_Tables_number 63
_symmetry_space_group_name_Hall '-C 2c 2'
loop_
_atom_site_label
_atom_site_type_symbol
_atom_site_fract_x
_atom_site_fract_y
_atom_site_fract_z
K1 K 0.0000 0.1608 0.2500
In1 In 0.0000 0.0000 0.0000
In2 In 0.0000 0.1978 0.5690
In3 In 0.0000 0.4463 0.1496
Ag1 Ag 0.0000 0.1262 0.7500
Ag2 Ag 0.0000 0.3854 0.5468
```

(6)
Simulated XRD peak list
Compound: AlAg2Br5
Radiation: Cu Ka
Structure: a DFT-relaxed cell (GGA-PBE, Alexandria)

Largest 10 diffraction maxima, by intensity, 5 to 70 degrees two-theta:
2theta, Rel. int., hkl
37.6, 100.0, 4 0 0
19.6, 95.1, 1 1 -2
30.6, 90.5, 1 3 -2
12.8, 76.8, 1 1 -1
39.1, 73.6, 0 4 2
18.6, 73.5, 2 0 0
26.2, 60.2, 0 2 2
29.2, 57.9, 3 1 0
31.1, 56.4, 3 1 -3
39.8, 52.1, 2 2 -4

Atomic structure:
```
data_AlAg2Br5
_cell_length_a 10.9263
_cell_length_b 10.8367
_cell_length_c 9.9815
_cell_angle_alpha 90.00
_cell_angle_beta 118.84
_cell_angle_gamma 90.00
_symmetry_space_group_name_H-M 'C 1 2/c 1'
_symmetry_Int_Tables_number 15
loop_
_symmetry_equiv_pos_as_xyz
'x,y,z'
'-x,-y,-z'
'-x,y,-z+1/2'
'x,-y,z+1/2'
'x+1/2,y+1/2,z'
'-x+1/2,-y+1/2,-z'
'-x+1/2,y+1/2,-z+1/2'
'x+1/2,-y+1/2,z+1/2'
loop_
_atom_site_label
_atom_site_type_symbol
_atom_site_fract_x
_atom_site_fract_y
_atom_site_fract_z
Al1 Al 0.0000 0.0941 0.2500
Ag1 Ag 0.0000 0.5000 0.0000
Ag2 Ag 0.2500 0.2500 0.0000
Br1 Br 0.0000 0.3949 0.7500
Br2 Br 0.0085 0.2147 0.4458
Br3 Br 0.1957 0.0356 0.8290
```

(7)
Simulated XRD peak list
Compound: Nd3Ho5Se8
Radiation: Cu Ka
Structure: a DFT-relaxed cell (GGA-PBE, Alexandria)

Largest 10 diffraction maxima, by intensity, 5 to 70 degrees two-theta:
2theta, Rel. int., hkl
30.7, 100.0, 0 2 4
43.6, 37.6, 2 0 8
44.3, 36.4, 2 2 0
54.8, 19.3, 4 0 4
26.6, 14.8, 2 0 2
63.8, 12.0, 0 4 8
53.6, 6.7, 0 0 12
26.1, 5.3, 0 0 6
52.1, 5.1, 2 2 6
51.5, 2.8, 0 2 10

Atomic structure:
```
data_Nd3Ho5Se8
_cell_length_a 8.1850
_cell_length_b 8.1850
_cell_length_c 20.5144
_cell_angle_alpha 90.00
_cell_angle_beta 90.00
_cell_angle_gamma 120.00
_symmetry_space_group_name_H-M 'R -3 m'
_symmetry_Int_Tables_number 166
_symmetry_space_group_name_Hall '-R 3 2"'
loop_
_atom_site_label
_atom_site_type_symbol
_atom_site_fract_x
_atom_site_fract_y
_atom_site_fract_z
Nd1 Nd 0.0000 0.5000 0.0000
Ho1 Ho 0.0000 0.0000 0.0000
Ho2 Ho 0.0000 0.0000 0.5000
Ho3 Ho 0.0000 0.5000 0.5000
Se1 Se 0.0000 0.0000 0.2444
Se2 Se 0.0070 0.5035 0.7538
```